(1)
Theoretical X-ray powder pattern of CsBaInSe3 for Cu Kα (λ = 1.5418 Å), from a crystal structure in Alexandria, relaxed with PBE.
Intensities are scaled so that the largest is 100.

Crystal structure
```
12
Lattice="8.8287 -2.7707 0.0000 8.8287 2.7707 0.0000 -2.3389 0.0000 9.3217" Properties=species:S:1:pos:R:3 pbc="T T T"
Cs 2.4881 0.0000 0.6015
Cs 12.8303 0.0000 8.7201
Ba 1.2529 0.0000 5.2899
Ba 14.0655 0.0000 4.0317
In 6.9865 0.0000 6.7387
In 8.3319 0.0000 2.5829
Se -0.6108 0.0000 2.5791
Se 4.4788 0.0000 6.0768
Se 5.8062 0.0000 2.0518
Se 9.5122 0.0000 7.2698
Se 10.8396 0.0000 3.2449
Se 15.9292 0.0000 6.7426
```

Top 12 peaks for 10 to 90 degrees two-theta, in order of rising 2θ:
| d/Å | two_theta | I (rel.) |
| --- | --- | --- |
| 3.730 | 23.9 | 19 |
| 3.628 | 24.5 | 100 |
| 2.854 | 31.3 | 29 |
| 2.800 | 32.0 | 22 |
| 2.771 | 32.3 | 41 |
| 2.739 | 32.7 | 15 |
| 2.402 | 37.4 | 19 |
| 2.268 | 39.7 | 12 |
| 2.221 | 40.6 | 26 |
| 1.988 | 45.6 | 20 |
| 1.814 | 50.3 | 25 |
| 1.724 | 53.1 | 10 |

---

(2)
Theoretical X-ray powder pattern of Y12AlNi6 for Cu Kα (λ = 1.5418 Å), from a crystal structure in Alexandria, relaxed with PBE.
Intensities are scaled so that the largest is 100.

Crystal structure
```
19
Lattice="-4.8583 4.8583 4.8583 4.8583 -4.8583 4.8583 4.8583 4.8583 -4.8583" Properties=species:S:1:pos:R:3 pbc="T T T"
Y 4.8583 -1.9340 3.0432
Y 2.9243 1.8152 0.0000
Y 6.7924 1.8152 0.0000
Y 3.0432 4.8583 -1.9340
Y 1.8152 0.0000 2.9243
Y 0.0000 2.9243 1.8152
Y 4.8583 1.9340 3.0432
Y 3.0432 4.8583 1.9340
Y 1.8152 0.0000 6.7924
Y -1.9340 3.0432 4.8583
Y 1.9340 3.0432 4.8583
Y 0.0000 6.7924 1.8152
Al 0.0000 0.0000 0.0000
Ni 4.8583 0.0000 1.1916
Ni 4.8583 3.6667 0.0000
Ni 1.1916 4.8583 0.0000
Ni 3.6667 0.0000 4.8583
Ni 0.0000 1.1916 4.8583
Ni 0.0000 4.8583 3.6667
```

Top 12 peaks for 10 to 90 degrees two-theta, in order of rising 2θ:
| d/Å | two_theta | I (rel.) |
| --- | --- | --- |
| 6.871 | 12.9 | 14 |
| 3.073 | 29.1 | 18 |
| 2.805 | 31.9 | 30 |
| 2.597 | 34.5 | 100 |
| 2.429 | 37.0 | 13 |
| 2.290 | 39.3 | 13 |
| 1.906 | 47.7 | 23 |
| 1.666 | 55.1 | 25 |
| 1.619 | 56.9 | 14 |
| 1.576 | 58.6 | 24 |
| 1.374 | 68.3 | 14 |
| 1.130 | 86.1 | 15 |

---

(3)
Theoretical X-ray powder pattern of Sr2Ge2Br for Cu Kα (λ = 1.5418 Å), from a crystal structure in Alexandria, relaxed with PBE.
Intensities are scaled so that the largest is 100.

Crystal structure
```
10
Lattice="8.0764 0.0000 0.0000 0.0000 4.4688 0.0000 -2.7220 0.0000 8.3695" Properties=species:S:1:pos:R:3 pbc="T T T"
Sr -0.0191 0.0000 2.0350
Sr 1.3353 2.2344 6.3345
Sr 4.0191 2.2344 2.0350
Sr 5.3735 0.0000 6.3345
Ge 1.3336 2.2344 0.0887
Ge -0.0174 0.0000 8.2808
Ge 5.3718 0.0000 0.0887
Ge 4.0207 2.2344 8.2808
Br -1.3610 2.2344 4.1847
Br 2.6772 0.0000 4.1847
```

Top 12 peaks for 10 to 90 degrees two-theta, in order of rising 2θ:
| d/Å | two_theta | I (rel.) |
| --- | --- | --- |
| 8.369 | 10.6 | 29 |
| 3.141 | 28.4 | 50 |
| 3.088 | 28.9 | 100 |
| 2.687 | 33.4 | 29 |
| 2.641 | 33.9 | 57 |
| 2.306 | 39.1 | 72 |
| 2.234 | 40.4 | 33 |
| 2.092 | 43.2 | 26 |
| 1.821 | 50.1 | 20 |
| 1.552 | 59.6 | 20 |
| 1.547 | 59.8 | 20 |
| 1.527 | 60.6 | 19 |

---

(4)
Theoretical X-ray powder pattern of Ta3Co2H4 for Cu Kα (λ = 1.5418 Å), from a crystal structure in Alexandria, relaxed with PBE.
Intensities are scaled so that the largest is 100.

Crystal structure
```
9
Lattice="4.6482 -1.3885 0.0000 4.6482 1.3885 0.0000 -1.4889 0.0000 6.5032" Properties=species:S:1:pos:R:3 pbc="T T T"
Ta 0.0000 0.0000 0.0000
Ta 2.6736 0.0000 3.9570
Ta 5.1340 0.0000 2.5461
Co 2.5750 0.0000 1.2142
Co 5.2325 0.0000 5.2890
H -0.3130 0.0000 4.6797
H 1.6948 0.0000 5.9214
H 6.1127 0.0000 0.5818
H 8.1205 0.0000 1.8235
```

Top 12 peaks for 10 to 90 degrees two-theta, in order of rising 2θ:
| d/Å | two_theta | I (rel.) |
| --- | --- | --- |
| 4.181 | 21.3 | 34 |
| 2.516 | 35.7 | 31 |
| 2.402 | 37.4 | 100 |
| 2.305 | 39.1 | 44 |
| 2.151 | 42.0 | 38 |
| 2.126 | 42.5 | 39 |
| 2.044 | 44.3 | 44 |
| 1.871 | 48.7 | 12 |
| 1.862 | 48.9 | 19 |
| 1.369 | 68.5 | 15 |
| 1.202 | 79.8 | 12 |
| 1.189 | 80.8 | 11 |

---

(5)
Theoretical X-ray powder pattern of Ce4GeSe3 for Cu Kα (λ = 1.5418 Å), from a crystal structure in Alexandria, relaxed with PBE.
Intensities are scaled so that the largest is 100.

Crystal structure
```
8
Lattice="5.9623 0.0000 0.0000 0.0000 5.9623 0.0000 0.0000 0.0000 5.9623" Properties=species:S:1:pos:R:3 pbc="T T T"
Ce 0.0000 0.0000 0.0000
Ce 0.0000 2.9812 2.9812
Ce 2.9812 0.0000 2.9812
Ce 2.9812 2.9812 0.0000
Ge 2.9812 2.9812 2.9812
Se 0.0000 0.0000 2.9812
Se 0.0000 2.9812 0.0000
Se 2.9812 0.0000 0.0000
```

Top 10 peaks for 10 to 90 degrees two-theta, in order of rising 2θ:
| d/Å | two_theta | I (rel.) |
| --- | --- | --- |
| 3.442 | 25.9 | 15 |
| 2.981 | 30.0 | 100 |
| 2.108 | 42.9 | 75 |
| 1.798 | 50.8 | 7 |
| 1.721 | 53.2 | 26 |
| 1.491 | 62.3 | 12 |
| 1.368 | 68.6 | 3 |
| 1.333 | 70.7 | 34 |
| 1.217 | 78.6 | 25 |
| 1.147 | 84.4 | 2 |

---

(6)
Theoretical X-ray powder pattern of TaCuTc2 for Cu Kα (λ = 1.5418 Å), from a crystal structure in Alexandria, relaxed with PBE.
Intensities are scaled so that the largest is 100.

Crystal structure
```
4
Lattice="3.2247 0.0000 0.0000 0.0000 3.2247 0.0000 0.0000 0.0000 5.7248" Properties=species:S:1:pos:R:3 pbc="T T T"
Ta 0.0000 0.0000 0.0000
Cu 0.0000 0.0000 2.8624
Tc 1.6124 1.6124 1.5575
Tc 1.6124 1.6124 4.1673
```

Top 12 peaks for 10 to 90 degrees two-theta, in order of rising 2θ:
| d/Å | two_theta | I (rel.) |
| --- | --- | --- |
| 5.725 | 15.5 | 10 |
| 2.810 | 31.9 | 21 |
| 2.280 | 39.5 | 62 |
| 2.141 | 42.2 | 100 |
| 2.118 | 42.7 | 3 |
| 1.612 | 57.1 | 21 |
| 1.463 | 63.6 | 6 |
| 1.431 | 65.2 | 6 |
| 1.398 | 66.9 | 5 |
| 1.288 | 73.5 | 37 |
| 1.212 | 79.0 | 14 |
| 1.140 | 85.1 | 7 |